Record 1
This entry pairs a crystal structure of Tb3Th3In2Tc with its calculated powder X-ray diffraction pattern. Radiation: Cu Kα. Structure: the PBE geometry in Alexandria.
Peak positions follow from Bragg's law for the DFT cell and can differ from measured ones.

Atomic structure:
Unit cell a=8.778 b=8.778 c=3.839 alpha=90.00 beta=90.00 gamma=120.00
Element x y z (fractional)
Tb (0.000, 0.397, 0.000)
Tb (0.397, 0.000, 0.000)
Tb (0.603, 0.603, 0.000)
Th (0.000, 0.756, 0.500)
Th (0.244, 0.244, 0.500)
Th (0.756, 0.000, 0.500)
In (0.333, 0.667, 0.500)
In (0.667, 0.333, 0.500)
Tc (0.000, 0.000, 0.000)

Largest 6 diffraction maxima, in order of rising 2θ, 15° ≤ 2θ ≤ 90°:
2.890 Å, 30.95 deg, I = 100; 2.873 Å, 31.13 deg, I = 83; 2.701 Å, 33.17 deg, I = 64; 2.534 Å, 35.42 deg, I = 35; 2.300 Å, 39.16 deg, I = 44; 1.588 Å, 58.09 deg, I = 35

=====

Record 2
This entry pairs a crystal structure of Tb4InTe5 with its calculated powder X-ray diffraction pattern. Radiation: Cu Kα. Structure: the PBE geometry in Alexandria.
Peak positions follow from Bragg's law for the DFT cell and can differ from measured ones.

Atomic structure:
Unit cell a=9.262 b=9.844 c=7.786 alpha=90.00 beta=90.00 gamma=90.00
Element x y z (fractional)
Tb (0.009, 0.250, 0.091)
Tb (0.250, 0.028, 0.508)
Tb (0.250, 0.472, 0.508)
Tb (0.491, 0.250, 0.091)
Tb (0.509, 0.750, 0.909)
Tb (0.750, 0.528, 0.492)
Tb (0.750, 0.972, 0.492)
Tb (0.991, 0.750, 0.909)
In (0.250, 0.250, 0.797)
In (0.750, 0.750, 0.203)
Te (0.026, 0.548, 0.235)
Te (0.026, 0.952, 0.235)
Te (0.250, 0.750, 0.669)
Te (0.474, 0.548, 0.235)
Te (0.474, 0.952, 0.235)
Te (0.526, 0.048, 0.765)
Te (0.526, 0.452, 0.765)
Te (0.750, 0.250, 0.331)
Te (0.974, 0.048, 0.765)
Te (0.974, 0.452, 0.765)

Largest 6 diffraction maxima, in order of rising 2θ, 15° ≤ 2θ ≤ 90°:
4.160 Å, 21.36 deg, I = 47; 3.980 Å, 22.34 deg, I = 71; 2.872 Å, 31.15 deg, I = 30; 2.549 Å, 35.21 deg, I = 100; 2.316 Å, 38.89 deg, I = 32; 2.206 Å, 40.91 deg, I = 31

=====

Record 3
This entry pairs a crystal structure of TbInTe3 with its calculated powder X-ray diffraction pattern. Radiation: Cu Kα. Structure: the PBE geometry in Alexandria.
Peak positions follow from Bragg's law for the DFT cell and can differ from measured ones.

Atomic structure:
Unit cell a=4.456 b=13.103 c=13.103 alpha=147.47 beta=90.00 gamma=90.00
Element x y z (fractional)
Tb (0.250, 0.173, 0.827)
Tb (0.750, 0.827, 0.173)
In (0.250, 0.295, 0.550)
In (0.750, 0.550, 0.295)
Te (0.250, 0.009, 0.465)
Te (0.250, 0.334, 0.184)
Te (0.250, 0.686, 0.912)
Te (0.750, 0.184, 0.334)
Te (0.750, 0.465, 0.009)
Te (0.750, 0.912, 0.686)

Largest 6 diffraction maxima, in order of rising 2θ, 15° ≤ 2θ ≤ 90°:
3.766 Å, 23.62 deg, I = 43; 3.468 Å, 25.69 deg, I = 100; 2.762 Å, 32.41 deg, I = 69; 2.583 Å, 34.73 deg, I = 44; 2.191 Å, 41.21 deg, I = 61; 2.078 Å, 43.56 deg, I = 39